Calculated PXRD pattern of Na2PrHoTe4 for Cu Kα (λ = 1.5418 Å), from a crystal structure in Alexandria, relaxed with GGA-PBE.
Lines closer than 0.1° are merged.

Atomic structure:
Cell lengths 7.791, 4.496, 8.011 Å; angles 90.00, 108.92, 90.00 degrees
Space group P2/m (No. 10)
Inequivalent atoms, fractional coordinates:
Na1 0.000 0.000 0.000
Na2 0.500 0.500 0.000
Pr1 0.000 0.500 0.500
Ho1 0.500 0.000 0.500
Te1 0.255 0.000 0.738
Te2 0.264 0.500 0.267

Main lines, sorted by position (2θ = 10–80°):
2θ 11.68, d = 7.578 Å, intensity 307; 2θ 23.17, d = 3.839 Å, intensity 126; 2θ 27.77, d = 3.213 Å, intensity 1000; 2θ 39.25, d = 2.296 Å, intensity 384; 2θ 40.10, d = 2.249 Å, intensity 372; 2θ 49.48, d = 1.842 Å, intensity 199; 2θ 57.36, d = 1.606 Å, intensity 124; 2θ 64.30, d = 1.449 Å, intensity 168; 2θ 65.50, d = 1.425 Å, intensity 168; 2θ 72.29, d = 1.307 Å, intensity 122